# 1
SmCrO3: calculated XRD peak list (CuKα), based on a structure optimized by DFT (PBE+U).
Peak positions follow from Bragg's law for the DFT cell and can differ from measured ones.

The 10 most intense peaks (2θ from 15° to 90°), sorted by position:
Position (°2θ)  d (Å)  I (rel.)  hkl
22.8  3.901  20  1 0 1
23.0  3.875  13  0 2 0
25.6  3.485  17  1 1 1
31.8  2.815  19  2 0 0
32.6  2.749  100  1 2 1
33.1  2.706  24  0 0 2
46.6  1.951  20  2 0 2
46.9  1.937  14  0 4 0
53.0  1.728  16  3 1 1
58.8  1.570  22  1 2 3

Lattice parameters (Å, degrees): 5.629 7.749 5.411 90.00 90.00 90.00
Space group Pnma (No. 62)
Symmetry-distinct sites (fractional):
Sm 0.059 0.250 0.016 x4
Cr 0.000 0.000 0.500 x4
O 0.033 0.750 0.399 x4
O 0.204 0.553 0.799 x8



# 2
SrSmZrCrO6: calculated XRD peak list (CuKα), based on a structure optimized by DFT (PBE+U).
Peak positions follow from Bragg's law for the DFT cell and can differ from measured ones.

The 10 most intense peaks (2θ from 15° to 90°), sorted by position:
Position (°2θ)  d (Å)  I (rel.)  hkl
19.1  4.654  9  1 1 1
31.4  2.850  100  2 2 0
37.0  2.431  6  3 1 1
38.7  2.327  11  2 2 2
45.0  2.015  33  4 0 0
55.9  1.646  39  4 2 2
65.5  1.425  20  4 4 0
74.4  1.275  17  6 2 0
78.7  1.215  3  6 2 2
83.0  1.164  7  4 4 4

Lattice parameters (Å, degrees): 8.061 8.061 8.061 90.00 90.00 90.00
Space group F-43m (No. 216)
Symmetry-distinct sites (fractional):
Sr 0.000 0.000 0.000 x4
Sm 0.000 0.000 0.500 x4
Zr 0.250 0.250 0.250 x4
Cr 0.250 0.250 0.750 x4
O 0.006 0.250 0.750 x24



Question: Number 2 is which compound?
Answer: SrSmZrCrO6



Question: Number 2 is which compound?
Answer: SrSmZrCrO6